Starting from DFT lattice parameters and positions (GGA+U), the powder diffraction line list of LiNiP2O7 was calculated for Cu Kα X-rays.
No peak broadening, texture or thermal motion is included.

Principal peaks in the range 2θ = 10–90°, low angle first:
12.46°, 7.104 Å, rel. 100
20.53°, 4.327 Å, rel. 31
22.85°, 3.892 Å, rel. 17
25.80°, 3.454 Å, rel. 22
26.87°, 3.318 Å, rel. 11
27.29°, 3.268 Å, rel. 72
29.23°, 3.056 Å, rel. 10
29.36°, 3.042 Å, rel. 15
30.80°, 2.903 Å, rel. 15
34.39°, 2.608 Å, rel. 9

Atomic structure:
Unit cell a=15.228 b=5.047 c=8.604 alpha=90.00 beta=111.08 gamma=90.00
Space group Cc (No. 9)
Unique sites:
Li: 0.000 0.172 0.000 x4
Ni: 0.300 0.483 0.455 x4
P: 0.202 0.155 0.654 x4
P: 0.399 0.147 0.770 x4
O: 0.121 0.029 0.099 x4
O: 0.205 0.329 0.804 x4
O: 0.208 0.337 0.512 x4
O: 0.300 0.016 0.219 x4
O: 0.394 0.371 0.895 x4
O: 0.398 0.285 0.607 x4
O: 0.478 0.040 0.342 x4